Calculated PXRD pattern
Compound: Dy2TmCd3InGa2
Radiation: Cu Kα, 1.54184 Å
Structure: a PBE-relaxed structure
Peak positions follow from Bragg's law for the DFT cell and can differ from measured ones.

Cell and atoms:
a b c (Å): 4.4970 12.6088 7.2951
angles (deg): 90.00 90.00 90.00
Space group Amm2 (No. 38)
Inequivalent atoms, fractional coordinates:
Dy (0.0000, 0.2187, 0.0000)
Tm (0.0000, 0.0000, 0.3436)
Cd (0.5000, 0.0000, 0.0371)
Cd (0.5000, 0.1276, 0.6534)
In (0.0000, 0.0000, 0.7804)
Ga (0.5000, 0.1662, 0.2812)

Top 8 peaks for 10 to 90 degrees two-theta, in order of falling intensity:
- 2θ = 34.7°, intensity 100, (1 4 0)
- 2θ = 31.6°, intensity 63, (1 3 1)
- 2θ = 37.7°, intensity 34, (0 1 3)
- 2θ = 40.1°, intensity 28, (2 0 0)
- 2θ = 56.2°, intensity 21, (2 1 3)
- 2θ = 28.3°, intensity 18, (0 2 2)
- 2θ = 42.9°, intensity 16, (0 3 3)
- 2θ = 56.4°, intensity 16, (1 5 3)


Calculated PXRD pattern
Compound: CdNi
Radiation: Cu Kα, 1.54184 Å
Structure: a PBE-relaxed structure
Peak positions follow from Bragg's law for the DFT cell and can differ from measured ones.

Cell and atoms:
a b c (Å): 11.3962 11.3962 11.3962
angles (deg): 90.00 90.00 90.00
Space group Fd-3m (No. 227, origin choice 2)
Inequivalent atoms, fractional coordinates:
Cd (0.0736, 0.3750, 0.3750)
Ni (0.0000, 0.0000, 0.5000)
Ni (0.0461, 0.0461, 0.7039)

Top 8 peaks for 10 to 90 degrees two-theta, in order of falling intensity:
- 2θ = 41.2°, intensity 100, (3 3 3)
- 2θ = 38.7°, intensity 43, (4 2 2)
- 2θ = 70.1°, intensity 36, (6 6 0)
- 2θ = 45.0°, intensity 35, (4 4 0)
- 2θ = 34.3°, intensity 21, (3 3 1)
- 2θ = 84.6°, intensity 16, (9 3 3)
- 2θ = 31.4°, intensity 14, (4 0 0)
- 2θ = 67.2°, intensity 11, (7 3 3)


Calculated PXRD pattern
Compound: CsNaPtC2
Radiation: Cu Kα, 1.54184 Å
Structure: a PBE-relaxed structure
Peak positions follow from Bragg's law for the DFT cell and can differ from measured ones.

Cell and atoms:
a b c (Å): 5.3525 5.3525 5.2232
angles (deg): 90.00 90.00 120.00
Space group P3m1 (No. 156)
Inequivalent atoms, fractional coordinates:
Cs (0.0000, 0.0000, 0.0000)
Na (0.6667, 0.3333, 0.5128)
Pt (0.3333, 0.6667, 0.6498)
C (0.3333, 0.6667, 0.0294)
C (0.3333, 0.6667, 0.2737)

Top 8 peaks for 10 to 90 degrees two-theta, in order of falling intensity:
- 2θ = 25.7°, intensity 100, (1 0 1)
- 2θ = 33.5°, intensity 56, (1 1 0)
- 2θ = 19.1°, intensity 45, (1 0 0)
- 2θ = 39.6°, intensity 31, (0 1 2)
- 2θ = 42.7°, intensity 26, (0 2 1)
- 2θ = 55.3°, intensity 25, (2 1 1)
- 2θ = 64.0°, intensity 15, (1 2 2)
- 2θ = 17.0°, intensity 14, (0 0 1)


Calculated PXRD pattern
Compound: ZrNbI6
Radiation: Cu Kα, 1.54184 Å
Structure: a PBE-relaxed structure
Peak positions follow from Bragg's law for the DFT cell and can differ from measured ones.

Cell and atoms:
a b c (Å): 7.6564 7.6564 6.5146
angles (deg): 90.00 90.00 120.00
Space group P-31m (No. 162)
Inequivalent atoms, fractional coordinates:
Zr (0.0000, 0.0000, 0.0000)
Nb (0.0000, 0.0000, 0.5000)
I (0.0000, 0.3118, 0.2544)

Top 8 peaks for 10 to 90 degrees two-theta, in order of falling intensity:
- 2θ = 27.0°, intensity 100, (2 -1 1)
- 2θ = 13.4°, intensity 41, (1 0 0)
- 2θ = 36.2°, intensity 35, (1 1 2)
- 2θ = 40.8°, intensity 32, (3 0 0)
- 2θ = 49.6°, intensity 21, (2 2 1)
- 2θ = 48.2°, intensity 20, (2 -1 3)
- 2θ = 27.4°, intensity 12, (0 0 2)
- 2θ = 66.2°, intensity 12, (5 -1 1)


Calculated PXRD pattern
Compound: BaZn2Te2F2
Radiation: Cu Kα, 1.54184 Å
Structure: a PBE-relaxed structure
Peak positions follow from Bragg's law for the DFT cell and can differ from measured ones.

Cell and atoms:
a b c (Å): 3.8619 3.8619 10.4838
angles (deg): 90.00 90.00 90.00
Space group P-4m2 (No. 115)
Inequivalent atoms, fractional coordinates:
Ba (0.0000, 0.0000, 0.0000)
Zn (0.0000, 0.5000, 0.6170)
Te (0.0000, 0.5000, 0.2525)
F (0.0000, 0.0000, 0.5000)
F (0.5000, 0.5000, 0.5000)

Top 8 peaks for 10 to 90 degrees two-theta, in order of falling intensity:
- 2θ = 34.6°, intensity 100, (1 0 3)
- 2θ = 37.1°, intensity 90, (1 1 2)
- 2θ = 24.6°, intensity 66, (1 0 1)
- 2θ = 47.1°, intensity 44, (2 0 0)
- 2θ = 59.7°, intensity 40, (2 1 3)
- 2θ = 28.7°, intensity 39, (1 0 2)
- 2θ = 33.9°, intensity 29, (1 1 1)
- 2θ = 49.5°, intensity 29, (1 0 5)


Calculated PXRD pattern
Compound: PaPd
Radiation: Cu Kα, 1.54184 Å
Structure: a PBE-relaxed structure
Peak positions follow from Bragg's law for the DFT cell and can differ from measured ones.

Cell and atoms:
a b c (Å): 3.1548 3.1548 4.8036
angles (deg): 90.00 90.00 120.00
Space group P-6m2 (No. 187)
Inequivalent atoms, fractional coordinates:
Pa (0.0000, 0.0000, 0.0000)
Pd (0.6667, 0.3333, 0.5000)

Top 8 peaks for 10 to 90 degrees two-theta, in order of falling intensity:
- 2θ = 37.9°, intensity 100, (1 0 1)
- 2θ = 32.8°, intensity 32, (1 0 0)
- 2θ = 37.4°, intensity 22, (0 0 2)
- 2θ = 71.6°, intensity 20, (1 1 2)
- 2θ = 50.6°, intensity 20, (1 0 2)
- 2θ = 67.8°, intensity 18, (1 0 3)
- 2θ = 58.5°, intensity 18, (1 1 0)
- 2θ = 71.8°, intensity 16, (2 0 1)


Calculated PXRD pattern
Compound: Y3Tm4Co2Te2
Radiation: Cu Kα, 1.54184 Å
Structure: a PBE-relaxed structure
Peak positions follow from Bragg's law for the DFT cell and can differ from measured ones.

Cell and atoms:
a b c (Å): 3.8474 15.5758 9.3771
angles (deg): 90.00 90.00 90.00
Space group Imm2 (No. 44)
Inequivalent atoms, fractional coordinates:
Y (0.0000, 0.0000, 0.0000)
Y (0.0000, 0.3505, 0.2652)
Tm (0.0000, 0.1353, 0.4159)
Tm (0.0000, 0.3147, 0.6234)
Co (0.0000, 0.2399, 0.9327)
Te (0.0000, 0.0000, 0.6601)
Te (0.0000, 0.5000, 0.7672)

Top 8 peaks for 10 to 90 degrees two-theta, in order of falling intensity:
- 2θ = 34.1°, intensity 100, (1 4 1)
- 2θ = 34.8°, intensity 86, (1 3 2)
- 2θ = 33.5°, intensity 85, (0 3 3)
- 2θ = 30.6°, intensity 42, (1 1 2)
- 2θ = 59.1°, intensity 39, (2 3 3)
- 2θ = 25.0°, intensity 37, (1 0 1)
- 2θ = 47.2°, intensity 35, (2 0 0)
- 2θ = 37.1°, intensity 27, (1 0 3)


Calculated PXRD pattern
Compound: Re5Ni
Radiation: Cu Kα, 1.54184 Å
Structure: a PBE-relaxed structure
Peak positions follow from Bragg's law for the DFT cell and can differ from measured ones.

Cell and atoms:
a b c (Å): 5.0360 5.0360 15.8691
angles (deg): 90.00 90.00 120.00
Space group P6_3/mmc (No. 194)
Inequivalent atoms, fractional coordinates:
Re (0.0000, 0.0000, 0.0913)
Re (0.0000, 0.5000, 0.0000)
Re (0.1633, 0.3266, 0.2500)
Re (0.3333, 0.6667, 0.6575)
Ni (0.3333, 0.6667, 0.1257)

Top 8 peaks for 10 to 90 degrees two-theta, in order of falling intensity:
- 2θ = 43.0°, intensity 100, (2 0 2)
- 2θ = 42.5°, intensity 92, (1 1 4)
- 2θ = 39.9°, intensity 74, (1 0 6)
- 2θ = 41.8°, intensity 43, (2 0 1)
- 2θ = 75.5°, intensity 34, (2 2 0)
- 2θ = 73.9°, intensity 32, (2 0 10)
- 2θ = 66.9°, intensity 30, (2 1 6)
- 2θ = 35.0°, intensity 23, (1 0 5)


Calculated PXRD pattern
Compound: Cu12Te
Radiation: Cu Kα, 1.54184 Å
Structure: a PBE-relaxed structure
Peak positions follow from Bragg's law for the DFT cell and can differ from measured ones.

Cell and atoms:
a b c (Å): 4.4041 5.6583 26.3672
angles (deg): 89.76 89.91 75.32
Space group P-1 (No. 2)
Inequivalent atoms, fractional coordinates:
Cu (0.0017, 0.2448, 0.3081)
Cu (0.0045, 0.2451, 0.5642)
Cu (0.1372, 0.3284, 0.6570)
Cu (0.1425, 0.3249, 0.3993)
Cu (0.1435, 0.8198, 0.5277)
Cu (0.2851, 0.3960, 0.4901)
Cu (0.2877, 0.8913, 0.3639)
Cu (0.2923, 0.8872, 0.6197)
Cu (0.4261, 0.4613, 0.5832)
Cu (0.4278, 0.9654, 0.4544)
Cu (0.4305, 0.4656, 0.3227)
Cu (0.4306, 0.9661, 0.7109)
Te (0.1392, 0.8232, 0.2580)

Top 8 peaks for 10 to 90 degrees two-theta, in order of falling intensity:
- 2θ = 43.7°, intensity 100, (2 1 -4)
- 2θ = 10.1°, intensity 79, (0 0 3)
- 2θ = 43.6°, intensity 57, (1 -2 0)
- 2θ = 41.2°, intensity 52, (0 1 -11)
- 2θ = 44.0°, intensity 48, (1 2 8)
- 2θ = 41.9°, intensity 44, (1 2 7)
- 2θ = 44.5°, intensity 39, (0 1 -12)
- 2θ = 51.2°, intensity 33, (1 3 -4)


Calculated PXRD pattern
Compound: HfTcC2
Radiation: Cu Kα, 1.54184 Å
Structure: a PBE-relaxed structure
Peak positions follow from Bragg's law for the DFT cell and can differ from measured ones.

Cell and atoms:
a b c (Å): 3.1728 3.1728 4.4665
angles (deg): 90.00 90.00 90.00
Space group P4/mmm (No. 123)
Inequivalent atoms, fractional coordinates:
Hf (0.0000, 0.0000, 0.0000)
Tc (0.5000, 0.5000, 0.5000)
C (0.0000, 0.0000, 0.5000)
C (0.5000, 0.5000, 0.0000)

Top 8 peaks for 10 to 90 degrees two-theta, in order of falling intensity:
- 2θ = 34.7°, intensity 100, (1 0 1)
- 2θ = 40.2°, intensity 45, (1 1 0)
- 2θ = 58.3°, intensity 29, (1 1 2)
- 2θ = 69.5°, intensity 28, (2 1 1)
- 2θ = 40.4°, intensity 22, (0 0 2)
- 2θ = 58.2°, intensity 15, (2 0 0)
- 2θ = 73.2°, intensity 15, (2 0 2)
- 2θ = 69.8°, intensity 14, (1 0 3)


Calculated PXRD pattern
Compound: Na3ReO3F3
Radiation: Cu Kα, 1.54184 Å
Structure: a PBE-relaxed structure
Peak positions follow from Bragg's law for the DFT cell and can differ from measured ones.

Cell and atoms:
a b c (Å): 5.5523 5.5523 14.0973
angles (deg): 90.00 90.00 120.00
Space group R3 (No. 146, hexagonal axes)
Inequivalent atoms, fractional coordinates:
Na (0.0000, 0.0000, 0.0000)
Na (0.0000, 0.0000, 0.2192)
Na (0.0000, 0.0000, 0.5015)
Re (0.0000, 0.0000, 0.7288)
O (0.0196, 0.3968, 0.4466)
F (0.0685, 0.6946, 0.2932)

Top 8 peaks for 10 to 90 degrees two-theta, in order of falling intensity:
- 2θ = 19.5°, intensity 100, (1 0 1)
- 2θ = 22.4°, intensity 79, (0 1 2)
- 2θ = 31.5°, intensity 57, (1 0 4)
- 2θ = 32.2°, intensity 43, (1 1 0)
- 2θ = 37.6°, intensity 40, (2 -1 3)
- 2θ = 18.9°, intensity 34, (0 0 3)
- 2θ = 45.7°, intensity 29, (0 2 4)
- 2θ = 50.9°, intensity 25, (2 -1 6)


Calculated PXRD pattern
Compound: Cu7Ag2
Radiation: Cu Kα, 1.54184 Å
Structure: a PBE-relaxed structure
Peak positions follow from Bragg's law for the DFT cell and can differ from measured ones.

Cell and atoms:
a b c (Å): 2.7140 3.4534 25.2996
angles (deg): 90.00 90.00 90.00
Space group Immm (No. 71)
Inequivalent atoms, fractional coordinates:
Cu (0.0000, 0.0000, 0.0000)
Cu (0.0000, 0.0000, 0.1015)
Cu (0.0000, 0.0000, 0.3490)
Cu (0.0000, 0.0000, 0.4495)
Ag (0.0000, 0.0000, 0.2129)

Top 8 peaks for 10 to 90 degrees two-theta, in order of falling intensity:
- 2θ = 42.4°, intensity 100, (1 1 0)
- 2θ = 41.4°, intensity 77, (0 1 9)
- 2θ = 46.5°, intensity 54, (1 0 9)
- 2θ = 73.2°, intensity 25, (1 2 9)
- 2θ = 53.0°, intensity 25, (0 2 0)
- 2θ = 36.0°, intensity 18, (0 1 7)
- 2θ = 84.0°, intensity 17, (2 1 9)
- 2θ = 41.6°, intensity 12, (1 0 7)


Calculated PXRD pattern
Compound: NaTmNO
Radiation: Cu Kα, 1.54184 Å
Structure: a PBE-relaxed structure
Peak positions follow from Bragg's law for the DFT cell and can differ from measured ones.

Cell and atoms:
a b c (Å): 3.3916 3.3916 4.5325
angles (deg): 90.00 90.00 90.00
Space group P4/mmm (No. 123)
Inequivalent atoms, fractional coordinates:
Na (0.0000, 0.0000, 0.0000)
Tm (0.5000, 0.5000, 0.5000)
N (0.0000, 0.0000, 0.5000)
O (0.5000, 0.5000, 0.0000)

Top 8 peaks for 10 to 90 degrees two-theta, in order of falling intensity:
- 2θ = 33.0°, intensity 100, (1 0 1)
- 2θ = 26.3°, intensity 73, (1 0 0)
- 2θ = 19.6°, intensity 68, (0 0 1)
- 2θ = 37.5°, intensity 67, (1 1 0)
- 2θ = 55.8°, intensity 40, (1 1 2)
- 2θ = 42.7°, intensity 38, (1 1 1)
- 2θ = 64.8°, intensity 31, (2 1 1)
- 2θ = 48.3°, intensity 29, (1 0 2)